# 1
For Ta3MoS8, DFT lattice parameters and positions (GGA-PBE) gives the computed X-ray diffraction stick pattern in this record (a wavelength of 1.5418 Å).

Most intense lines, 2θ = 10–90°, low angle first:
hkl	two_theta	d [Å]	intensity
4 0 0	13.19	6.713	100
2 0 -2	31.50	2.840	26
2 0 2	32.45	2.759	26
5 1 1	36.01	2.494	19
6 0 -2	36.07	2.490	9
7 1 -1	38.52	2.337	28
9 1 1	44.57	2.033	14
11 1 -1	48.08	1.892	15
0 2 0	55.47	1.656	13
3 1 3	57.29	1.608	14

Structure:
```
data_Ta3MoS8
_chemical_formula_sum 'Ta6 Mo2 S16'
_symmetry_space_group_name_H-M 'C 1 m 1'
_symmetry_Int_Tables_number 8
_cell_length_a 26.917
_cell_length_b 3.314
_cell_length_c 5.737
_cell_angle_alpha 90.00
_cell_angle_beta 93.95
_cell_angle_gamma 90.00
loop_
_symmetry_equiv_pos_as_xyz
'x,y,z'
'x,-y,z'
'x+1/2,y+1/2,z'
'x+1/2,-y+1/2,z'
loop_
_atom_site_label
_atom_site_fract_x
_atom_site_fract_y
_atom_site_fract_z
Ta1 0.000 0.000 0.000
Ta2 0.000 0.500 0.500
Ta3 0.250 0.000 0.752
Mo1 0.250 0.500 0.249
S1 0.058 0.000 0.685
S2 0.058 0.500 0.185
S3 0.192 0.000 0.394
S4 0.192 0.500 0.901
S5 0.307 0.000 0.431
S6 0.307 0.500 0.939
S7 0.441 0.000 0.147
S8 0.442 0.500 0.648
```



# 2
For Cs3AgPb, DFT lattice parameters and positions (GGA-PBE) gives the computed X-ray diffraction stick pattern in this record (a wavelength of 1.5418 Å).

Most intense lines, 2θ = 10–90°, low angle first:
hkl	two_theta	d [Å]	intensity
0 2 0	15.44	5.739	50
2 2 -1	20.03	4.433	55
2 2 0	22.91	3.882	75
2 2 -2	24.56	3.625	91
1 3 -1	25.15	3.541	100
0 0 2	25.41	3.505	66
4 0 -1	27.14	3.286	71
3 1 -3	29.70	3.008	51
4 0 -3	29.93	2.985	45
2 2 1	31.33	2.855	80

Structure:
```
data_Cs3AgPb
_chemical_formula_sum 'Cs12 Ag4 Pb4'
_symmetry_space_group_name_H-M 'C 1 2/m 1'
_symmetry_Int_Tables_number 12
_cell_length_a 14.060
_cell_length_b 11.478
_cell_length_c 9.350
_cell_angle_alpha 90.00
_cell_angle_beta 131.44
_cell_angle_gamma 90.00
loop_
_symmetry_equiv_pos_as_xyz
'x,y,z'
'-x,-y,-z'
'-x,y,-z'
'x,-y,z'
'x+1/2,y+1/2,z'
'-x+1/2,-y+1/2,-z'
'-x+1/2,y+1/2,-z'
'x+1/2,-y+1/2,z'
loop_
_atom_site_label
_atom_site_fract_x
_atom_site_fract_y
_atom_site_fract_z
Cs1 0.060 0.000 0.331
Cs2 0.213 0.303 0.744
Ag1 0.209 0.500 0.102
Pb1 0.060 0.500 0.227
```